[1]
KHgH: calculated powder diffractogram (copper Kα), based on the GGA-PBE geometry in Alexandria.

Atomic structure:
Lattice parameters (Å, degrees): 4.0772 4.0938 8.4843 90.00 90.02 90.00
Space group P2_1/m (No. 11)
Symmetry-distinct sites (fractional):
K  0.2485  0.2500  0.1726 [2 per cell]
Hg  0.2502  0.2500  0.5700 [2 per cell]
H  0.2519  0.2500  0.8306 [2 per cell]

Most intense lines, 5 to 70 degrees two-theta, by angle:
d_spacing  2θ/deg  I/Imax  index
8.484  10.4  100  0 0 1
2.943  30.4  50  1 0 2
2.889  31.0  40  1 1 0
2.735  32.7  30  1 1 -1
2.325  38.7  29  1 0 -3
1.882  48.3  11  1 0 4
1.680  54.6  9  1 2 2
1.676  54.8  9  2 1 2

***

[2]
Ac2InP2N6: calculated powder diffractogram (copper Kα), based on the GGA-PBE geometry in Alexandria.

Atomic structure:
Lattice parameters (Å, degrees): 5.7308 5.7308 6.1999 90.00 90.00 120.00
Space group P-3 (No. 147)
Symmetry-distinct sites (fractional):
Ac  0.3333  0.6667  0.3169 [2 per cell]
In  0.0000  0.0000  0.0000 [1 per cell]
P  0.3333  0.6667  0.8179 [2 per cell]
N  0.1241  0.3557  0.7659 [6 per cell]

Most intense lines, 5 to 70 degrees two-theta, by angle:
d_spacing  2θ/deg  I/Imax  index
3.875  23.0  100  0 1 1
2.865  31.2  74  1 1 0
2.629  34.1  63  1 0 2
2.304  39.1  39  2 0 1
1.937  46.9  27  0 2 2
1.795  50.9  28  1 2 1
1.676  54.8  21  2 -1 3
1.605  57.4  27  2 1 2

***

[3]
Cs10Br4O3: calculated powder diffractogram (copper Kα), based on the GGA-PBE geometry in Alexandria.

Atomic structure:
Lattice parameters (Å, degrees): 5.8841 5.8841 41.7266 90.00 90.00 90.00
Space group I4/mmm (No. 139)
Symmetry-distinct sites (fractional):
Cs  0.0000  0.0000  0.0698 [4 per cell]
Cs  0.0000  0.0000  0.2091 [4 per cell]
Cs  0.0000  0.5000  0.0000 [4 per cell]
Cs  0.0000  0.5000  0.1392 [8 per cell]
Br  0.0000  0.0000  0.3022 [4 per cell]
Br  0.0000  0.0000  0.4327 [4 per cell]
O  0.0000  0.0000  0.0000 [2 per cell]
O  0.0000  0.0000  0.1439 [4 per cell]

Most intense lines, 5 to 70 degrees two-theta, by angle:
d_spacing  2θ/deg  I/Imax  index
3.570  24.9  48  1 1 6
3.253  27.4  100  1 1 8
2.980  30.0  26  0 0 14
2.942  30.4  72  2 0 0
2.094  43.2  37  2 0 14
2.080  43.5  24  2 2 0
1.753  52.2  33  3 1 8
1.726  53.1  19  1 1 22

***

[4]
MgAl2B28: calculated powder diffractogram (copper Kα), based on the GGA-PBE geometry in Alexandria.

Atomic structure:
Lattice parameters (Å, degrees): 9.9326 10.2526 5.8876 90.00 125.78 90.00
Space group Cm (No. 8)
Symmetry-distinct sites (fractional):
Mg  0.0000  0.0000  0.0000 [2 per cell]
Al  0.2267  0.5000  0.1475 [2 per cell]
Al  0.3856  0.0000  0.2015 [2 per cell]
B  0.0162  0.4004  0.0784 [4 per cell]
B  0.0829  0.3266  0.8913 [4 per cell]
B  0.0896  0.3278  0.4017 [4 per cell]
B  0.1101  0.0831  0.6705 [4 per cell]
B  0.1576  0.4149  0.7181 [4 per cell]
B  0.1799  0.1700  0.9899 [4 per cell]
B  0.1818  0.1676  0.4927 [4 per cell]
B  0.2552  0.0970  0.3204 [4 per cell]
B  0.2970  0.3117  0.0132 [4 per cell]
B  0.2976  0.3126  0.7021 [4 per cell]
B  0.3103  0.1618  0.8661 [4 per cell]
B  0.4555  0.1645  0.5195 [4 per cell]
B  0.4693  0.3149  0.6870 [4 per cell]
B  0.4708  0.3153  0.3789 [4 per cell]

Most intense lines, 5 to 70 degrees two-theta, by angle:
d_spacing  2θ/deg  I/Imax  index
4.731  18.8  45  2 0 -1
3.495  25.5  100  0 2 1
3.176  28.1  31  1 1 1
2.377  37.8  42  3 3 -1
2.213  40.8  34  2 2 1
2.164  41.7  30  0 2 2
2.146  42.1  46  3 3 -2
2.112  42.8  44  3 3 0